Record 1
This entry pairs a crystal structure of Th2MgF11 with its calculated powder diffraction line list. Radiation: CuKα. Structure: a PBE-relaxed structure.

Structure:
Lattice parameters (Å, degrees): 8.1875 8.1875 10.1039 121.80 121.80 66.87
Element x y z (fractional)
1 Th 0.0993 0.3885 0.2217
2 Th 0.3885 0.0993 0.7217
3 Th 0.6115 0.9007 0.2783
4 Th 0.9007 0.6115 0.7783
5 Mg 0.3819 0.6181 0.7500
6 Mg 0.6181 0.3819 0.2500
7 F 0.0000 0.5000 0.0000
8 F 0.0031 0.1967 0.9383
9 F 0.0927 0.3052 0.7151
10 F 0.1510 0.6894 0.8024
11 F 0.1967 0.0031 0.4383
12 F 0.2240 0.4657 0.5021
13 F 0.3052 0.0927 0.2151
14 F 0.3106 0.8490 0.6976
15 F 0.3764 0.4619 0.2900
16 F 0.4619 0.3764 0.7900
17 F 0.4657 0.2240 0.0021
18 F 0.5000 0.0000 0.5000
19 F 0.5343 0.7760 0.9979
20 F 0.5381 0.6236 0.2100
21 F 0.6236 0.5381 0.7100
22 F 0.6894 0.1510 0.3024
23 F 0.6948 0.9073 0.7849
24 F 0.7760 0.5343 0.4979
25 F 0.8033 0.9969 0.5617
26 F 0.8490 0.3106 0.1976
27 F 0.9073 0.6948 0.2849
28 F 0.9969 0.8033 0.0617

The 6 most intense peaks (10° ≤ 2θ ≤ 90°), low angle first:
16.73°, rel. 76; 17.73°, rel. 54; 22.73°, rel. 100; 23.64°, rel. 89; 26.13°, rel. 32; 39.92°, rel. 23

=====

Record 2
This entry pairs a crystal structure of Ba7Na5Li3N3 with its calculated powder diffraction line list. Radiation: CuKα. Structure: a PBE-relaxed structure.

Structure:
Lattice parameters (Å, degrees): 12.5040 12.5040 12.5040 60.00 60.00 60.00
Element x y z (fractional)
1 Ba 0.1864 0.6045 0.6045
2 Ba 0.2094 0.2094 0.7906
3 Ba 0.2094 0.7906 0.2094
4 Ba 0.2094 0.7906 0.7906
5 Ba 0.3961 0.3961 0.3961
6 Ba 0.3961 0.3961 0.8116
7 Ba 0.3961 0.8116 0.3961
8 Ba 0.6045 0.1864 0.6045
9 Ba 0.6045 0.6045 0.1864
10 Ba 0.6045 0.6045 0.6045
11 Ba 0.7906 0.2094 0.2094
12 Ba 0.7906 0.2094 0.7906
13 Ba 0.7906 0.7906 0.2094
14 Ba 0.8116 0.3961 0.3961
15 Na 0.1719 0.1719 0.1719
16 Na 0.1719 0.1719 0.4844
17 Na 0.1719 0.4844 0.1719
18 Na 0.4844 0.1719 0.1719
19 Na 0.5094 0.5094 0.9906
20 Na 0.5094 0.9906 0.5094
21 Na 0.5094 0.9906 0.9906
22 Na 0.9906 0.5094 0.5094
23 Na 0.9906 0.5094 0.9906
24 Na 0.9906 0.9906 0.5094
25 Li 0.0000 0.0000 0.0000
26 Li 0.5000 0.5000 0.5000
27 Li 0.5501 0.8166 0.8166
28 Li 0.8166 0.5501 0.8166
29 Li 0.8166 0.8166 0.5501
30 Li 0.8166 0.8166 0.8166
31 N 0.3514 0.3514 0.6486
32 N 0.3514 0.6486 0.3514
33 N 0.3514 0.6486 0.6486
34 N 0.6486 0.3514 0.3514
35 N 0.6486 0.3514 0.6486
36 N 0.6486 0.6486 0.3514

The 6 most intense peaks (10° ≤ 2θ ≤ 90°), low angle first:
10.00°, rel. 52; 26.19°, rel. 100; 28.55°, rel. 77; 36.65°, rel. 35; 39.13°, rel. 26; 53.61°, rel. 43

=====

Record 3
This entry pairs a crystal structure of NdDy5Au6 with its calculated powder diffraction line list. Radiation: CuKα. Structure: a PBE-relaxed structure.

Structure:
Lattice parameters (Å, degrees): 5.1287 7.1909 8.1354 90.00 108.24 90.00
Element x y z (fractional)
1 Nd 0.0000 0.0000 0.0000
2 Dy 0.0000 0.5000 0.0000
3 Dy 0.3324 0.0000 0.6653
4 Dy 0.3337 0.5000 0.6682
5 Dy 0.6663 0.5000 0.3318
6 Dy 0.6676 0.0000 0.3347
7 Au 0.1717 0.2530 0.3422
8 Au 0.1717 0.7470 0.3422
9 Au 0.5000 0.2617 0.0000
10 Au 0.5000 0.7383 0.0000
11 Au 0.8283 0.2530 0.6578
12 Au 0.8283 0.7470 0.6578

The 6 most intense peaks (10° ≤ 2θ ≤ 90°), low angle first:
34.83°, rel. 34; 35.05°, rel. 100; 35.13°, rel. 66; 50.14°, rel. 12; 62.63°, rel. 25; 62.83°, rel. 25